No. 1
FeSO4F: simulated X-ray powder pattern (Cu Kα (λ = 1.5418 Å)), based on a PBE+U-relaxed structure.

Main lines, by angle (10 to 80 degrees two-theta):
two_theta	d_spacing	Rel. int.
18.4	4.816	59
24.4	3.653	32
26.8	3.325	100
27.9	3.196	70
28.0	3.181	27
34.6	2.594	14
39.6	2.276	20
44.3	2.045	16
48.8	1.867	14
55.2	1.663	15

Structural model:
a = 5.1892 Å, b = 5.1892 Å, c = 7.4334 Å
α = 110.41°, β = 110.41°, γ = 89.48°
Element x y z (fractional)
Fe 0.0000 0.5000 0.0000
Fe 0.5000 0.0000 0.5000
S 0.1262 0.8738 0.7500
S 0.8738 0.1262 0.2500
O 0.1552 0.1773 0.4122
O 0.1571 0.6612 0.8439
O 0.1773 0.1552 0.9122
O 0.3388 0.8429 0.6561
O 0.6612 0.1571 0.3439
O 0.8227 0.8448 0.0878
O 0.8429 0.3388 0.1561
O 0.8448 0.8227 0.5878
F 0.3343 0.6657 0.2500
F 0.6657 0.3343 0.7500



No. 2
Sr2Fe2Se2OF2: simulated X-ray powder pattern (Cu Kα (λ = 1.5418 Å)), based on a PBE+U-relaxed structure.

Main lines, by angle (10 to 80 degrees two-theta):
two_theta	d_spacing	Rel. int.
25.7	3.472	25
30.3	2.945	24
32.0	2.796	100
36.0	2.498	81
43.5	2.082	60
48.6	1.872	22
49.5	1.841	20
55.0	1.670	41
63.1	1.473	18
74.9	1.269	17

Structural model:
a = 9.8798 Å, b = 9.8798 Å, c = 9.8798 Å
α = 155.66°, β = 155.66°, γ = 34.69°
Element x y z (fractional)
Sr 0.1752 0.1752 0.0000
Sr 0.8248 0.8248 0.0000
Fe 0.0000 0.5000 0.5000
Fe 0.5000 0.0000 0.5000
Se 0.4025 0.4025 0.0000
Se 0.5975 0.5975 0.0000
O 0.0000 0.0000 0.0000
F 0.2500 0.7500 0.5000
F 0.7500 0.2500 0.5000



No. 3
FeOsF6: simulated X-ray powder pattern (Cu Kα (λ = 1.5418 Å)), based on a PBE+U-relaxed structure.

Main lines, by angle (10 to 80 degrees two-theta):
two_theta	d_spacing	Rel. int.
18.6	4.760	15
19.9	4.469	64
27.4	3.258	100
34.8	2.580	20
39.7	2.268	20
43.1	2.100	14
44.8	2.023	26
52.3	1.749	32
57.9	1.592	25
62.3	1.490	13

Structural model:
a = 5.1598 Å, b = 5.1598 Å, c = 9.5191 Å
α = 90.00°, β = 90.00°, γ = 120.00°
Element x y z (fractional)
Fe 0.3333 0.6667 0.2500
Fe 0.6667 0.3333 0.7500
Os 0.0000 0.0000 0.0000
Os 0.0000 0.0000 0.5000
F 0.0212 0.3198 0.1220
F 0.0212 0.7014 0.3780
F 0.2986 0.3198 0.3780
F 0.2986 0.9788 0.1220
F 0.3198 0.0212 0.6220
F 0.3198 0.2986 0.8780
F 0.6802 0.7014 0.1220
F 0.6802 0.9788 0.3780
F 0.7014 0.0212 0.8780
F 0.7014 0.6802 0.6220
F 0.9788 0.2986 0.6220
F 0.9788 0.6802 0.8780